1.
Structure and calculated powder X-ray diffraction pattern of CeS2Cl5 (the GGA-PBE geometry in Alexandria; Cu Kα X-rays).
No peak broadening, texture or thermal motion is included.

Largest 10 diffraction maxima, by intensity, 10° ≤ 2θ ≤ 90°:
h k l, d/Å, I_rel
0 0 2, 5.899, 1000
0 1 1, 4.938, 690
0 1 -2, 3.762, 547
1 0 2, 3.727, 539
0 1 0, 5.232, 500
1 0 0, 4.196, 449
1 1 3, 2.764, 370
-1 1 2, 2.787, 342
1 0 4, 2.628, 324
1 0 -3, 2.657, 324

Atomic structure:
```
data_CeS2Cl5
_space_group_name_H-M_alt 'P 1'
_space_group_IT_number 1
_space_group_name_Hall 'P 1'
_cell_length_a 4.2586
_cell_length_b 5.2502
_cell_length_c 12.0056
_cell_angle_alpha 85.29
_cell_angle_beta 80.45
_cell_angle_gamma 89.99
loop_
_atom_site_label
_atom_site_type_symbol
_atom_site_fract_x
_atom_site_fract_y
_atom_site_fract_z
Ce1 Ce 0.0000 0.0000 0.0000
S1 S 0.1070 0.1684 0.4912
S2 S 0.7228 0.1975 0.5953
Cl1 Cl 0.0850 0.2993 0.8172
Cl2 Cl 0.2357 0.5150 0.3949
Cl3 Cl 0.4302 0.0029 0.1497
Cl4 Cl 0.5538 0.8195 0.8852
Cl5 Cl 0.9608 0.4944 0.0843
```



2.
Structure and calculated powder X-ray diffraction pattern of Ag2B2Cl7 (the GGA-PBE geometry in Alexandria; Cu Kα X-rays).
No peak broadening, texture or thermal motion is included.

Largest 10 diffraction maxima, by intensity, 10° ≤ 2θ ≤ 90°:
h k l, d/Å, I_rel
1 1 0, 7.457, 1000
2 0 -2, 4.289, 454
1 1 -2, 5.467, 285
1 1 -5, 2.555, 253
1 1 -1, 7.203, 194
3 1 -2, 2.994, 177
0 2 3, 3.524, 174
3 3 -3, 2.401, 160
0 2 2, 4.550, 136
2 2 0, 3.728, 117

Atomic structure:
```
data_Ag2B2Cl7
_space_group_name_H-M_alt 'C 1 2/c 1'
_space_group_IT_number 15
_space_group_name_Hall '-C 2yc'
_cell_length_a 9.3964
_cell_length_b 13.3317
_cell_length_c 13.0084
_cell_angle_alpha 90.00
_cell_angle_beta 106.79
_cell_angle_gamma 90.00
loop_
_atom_site_label
_atom_site_type_symbol
_atom_site_fract_x
_atom_site_fract_y
_atom_site_fract_z
Ag1 Ag 0.0189 0.0939 0.4654
B1 B 0.1879 0.2604 0.2573
Cl1 Cl 0.0000 0.3364 0.2500
Cl2 Cl 0.1686 0.1467 0.6851
Cl3 Cl 0.1841 0.2335 0.1177
Cl4 Cl 0.2005 0.1469 0.3377
```



3.
Structure and calculated powder X-ray diffraction pattern of Cd4GaAg6 (the GGA-PBE geometry in Alexandria; Cu Kα X-rays).
No peak broadening, texture or thermal motion is included.

Largest 10 diffraction maxima, by intensity, 10° ≤ 2θ ≤ 90°:
h k l, d/Å, I_rel
2 0 4, 2.215, 1000
2 1 1, 2.456, 933
2 0 2, 2.603, 710
2 1 5, 1.895, 443
0 0 6, 2.432, 429
1 1 4, 2.677, 378
2 2 0, 1.970, 350
4 1 1, 1.346, 278
2 2 6, 1.531, 227
1 1 6, 2.070, 223

Atomic structure:
```
data_Cd4GaAg6
_space_group_name_H-M_alt 'I -4 2 m'
_space_group_IT_number 121
_space_group_name_Hall 'I -4 2'
_cell_length_a 5.5720
_cell_length_b 5.5720
_cell_length_c 14.5921
_cell_angle_alpha 90.00
_cell_angle_beta 90.00
_cell_angle_gamma 90.00
loop_
_atom_site_label
_atom_site_type_symbol
_atom_site_fract_x
_atom_site_fract_y
_atom_site_fract_z
Cd1 Cd 0.1975 0.1975 0.3299
Ga1 Ga 0.0000 0.0000 0.5000
Ag1 Ag 0.0000 0.5000 0.0000
Ag2 Ag 0.1860 0.1860 0.1343
```



4.
Structure and calculated powder X-ray diffraction pattern of Ag2TeS2Cl2 (the GGA-PBE geometry in Alexandria; Cu Kα X-rays).
No peak broadening, texture or thermal motion is included.

Largest 10 diffraction maxima, by intensity, 10° ≤ 2θ ≤ 90°:
h k l, d/Å, I_rel
0 1 -1, 5.255, 1000
0 2 0, 3.062, 874
0 1 1, 3.775, 832
1 0 1, 3.132, 648
1 0 -2, 2.980, 626
1 -1 0, 3.928, 497
0 2 -3, 2.026, 473
1 -2 1, 2.617, 448
2 0 -1, 2.292, 434
1 1 -1, 3.535, 403

Atomic structure:
```
data_Ag2TeS2Cl2
_space_group_name_H-M_alt 'P -1'
_space_group_IT_number 2
_space_group_name_Hall '-P 1'
_cell_length_a 4.6136
_cell_length_b 6.4955
_cell_length_c 6.7212
_cell_angle_alpha 106.18
_cell_angle_beta 105.39
_cell_angle_gamma 95.94
loop_
_atom_site_label
_atom_site_type_symbol
_atom_site_fract_x
_atom_site_fract_y
_atom_site_fract_z
Ag1 Ag 0.2225 0.0387 0.3580
Te1 Te 0.5000 0.5000 0.0000
S1 S 0.3405 0.0916 0.7670
Cl1 Cl 0.1809 0.4243 0.2421
```



5.
Structure and calculated powder X-ray diffraction pattern of La4NdHo3 (the GGA-PBE geometry in Alexandria; Cu Kα X-rays).
No peak broadening, texture or thermal motion is included.

Largest 10 diffraction maxima, by intensity, 10° ≤ 2θ ≤ 90°:
h k l, d/Å, I_rel
1 2 2, 2.983, 1000
2 0 0, 2.583, 506
3 2 2, 1.558, 426
2 4 0, 1.827, 360
3 6 2, 1.185, 171
2 4 4, 1.492, 123
4 4 0, 1.156, 109
2 0 8, 1.154, 50
4 0 0, 1.293, 39
0 0 8, 1.290, 18

Atomic structure:
```
data_La4NdHo3
_space_group_name_H-M_alt 'P m m n'
_space_group_IT_number 59
_cell_length_a 5.1700
_cell_length_b 10.3407
_cell_length_c 10.3202
_cell_angle_alpha 90.00
_cell_angle_beta 90.00
_cell_angle_gamma 90.00
loop_
_space_group_symop_operation_xyz
'x,y,z'
'-x,-y,-z'
'-x+1/2,-y+1/2,z'
'x+1/2,y+1/2,-z'
'x+1/2,-y,-z'
'-x+1/2,y,z'
'-x,y+1/2,-z'
'x,-y+1/2,z'
loop_
_atom_site_label
_atom_site_type_symbol
_atom_site_fract_x
_atom_site_fract_y
_atom_site_fract_z
La1 La 0.2500 0.9999 0.1279
La2 La 0.2500 0.2500 0.8703
La3 La 0.2500 0.7500 0.8725
Nd1 Nd 0.2500 0.2500 0.3831
Ho1 Ho 0.2500 0.9999 0.6172
Ho2 Ho 0.2500 0.7500 0.3814
```



6.
Structure and calculated powder X-ray diffraction pattern of Pm2Nd2Sn5 (the GGA-PBE geometry in Alexandria; Cu Kα X-rays).
No peak broadening, texture or thermal motion is included.

Largest 10 diffraction maxima, by intensity, 10° ≤ 2θ ≤ 90°:
h k l, d/Å, I_rel
1 3 1, 2.565, 1000
3 1 2, 3.063, 720
4 2 1, 2.754, 647
5 1 1, 2.890, 449
6 0 0, 2.777, 334
5 1 3, 2.048, 326
2 0 2, 3.681, 299
0 2 2, 2.902, 295
2 2 1, 3.359, 245
5 1 2, 2.468, 221

Atomic structure:
```
data_Pm2Nd2Sn5
_space_group_name_H-M_alt 'C m c e'
_space_group_IT_number 64
_space_group_name_Hall '-C 2ac 2'
_cell_length_a 16.6616
_cell_length_b 8.2080
_cell_length_c 8.2104
_cell_angle_alpha 90.00
_cell_angle_beta 90.00
_cell_angle_gamma 90.00
loop_
_atom_site_label
_atom_site_type_symbol
_atom_site_fract_x
_atom_site_fract_y
_atom_site_fract_z
Pm1 Pm 0.0000 0.1692 0.1691
Nd1 Nd 0.1892 0.0000 0.5000
Sn1 Sn 0.0000 0.0000 0.5000
Sn2 Sn 0.1351 0.1272 0.8739
```